Record 1
Structure and theoretical powder X-ray diffraction pattern of VCl4 (a DFT-relaxed cell (PBE, the Materials Project); Cu Kα (λ = 1.5418 Å)).

Main lines, by angle (2θ = 10–80°):
| 2θ/deg | d [Å] | I/Imax |
| --- | --- | --- |
| 13.9 | 6.382 | 37 |
| 15.4 | 5.757 | 89 |
| 16.3 | 5.441 | 58 |
| 17.2 | 5.169 | 100 |
| 21.0 | 4.222 | 31 |
| 28.0 | 3.191 | 89 |
| 28.4 | 3.140 | 61 |
| 29.7 | 3.006 | 60 |
| 34.5 | 2.603 | 69 |
| 38.0 | 2.368 | 52 |
| 44.9 | 2.017 | 30 |
| 47.8 | 1.901 | 39 |

Crystal structure
```
data_VCl4
_chemical_formula_sum 'V4 Cl16'
_symmetry_space_group_name_H-M 'P 1 2/c 1'
_symmetry_Int_Tables_number 13
_cell_length_a 9.4874
_cell_length_b 6.3822
_cell_length_c 11.6991
_cell_angle_alpha 90.00
_cell_angle_beta 117.12
_cell_angle_gamma 90.00
loop_
_symmetry_equiv_pos_as_xyz
'x,y,z'
'-x,-y,-z'
'-x,y,-z+1/2'
'x,-y,z+1/2'
loop_
_atom_site_label
_atom_site_fract_x
_atom_site_fract_y
_atom_site_fract_z
V1 0.1961 0.1613 0.3845
Cl1 0.0510 0.2588 0.1465
Cl2 0.1966 0.1722 0.8740
Cl3 0.2967 0.2228 0.5901
Cl4 0.3968 0.2879 0.3633
```



Record 2
Structure and theoretical powder X-ray diffraction pattern of Tb5Si2BO13 (a DFT-relaxed cell (PBE, the Materials Project); Cu Kα (λ = 1.5418 Å)).

Main lines, by angle (2θ = 10–80°):
| 2θ/deg | d [Å] | I/Imax |
| --- | --- | --- |
| 22.0 | 4.041 | 37 |
| 23.1 | 3.850 | 38 |
| 28.4 | 3.142 | 74 |
| 29.2 | 3.060 | 24 |
| 29.3 | 3.045 | 34 |
| 32.1 | 2.792 | 52 |
| 32.2 | 2.779 | 100 |
| 32.5 | 2.752 | 99 |
| 33.3 | 2.694 | 36 |
| 47.3 | 1.921 | 36 |
| 50.0 | 1.824 | 32 |
| 52.7 | 1.738 | 38 |

Crystal structure
```
data_Tb5Si2BO13
_chemical_formula_sum 'Tb10 Si4 B2 O26'
_symmetry_space_group_name_H-M 'P 1 m 1'
_symmetry_Int_Tables_number 6
_cell_length_a 9.2909
_cell_length_b 6.8222
_cell_length_c 9.3008
_cell_angle_alpha 90.00
_cell_angle_beta 119.61
_cell_angle_gamma 90.00
loop_
_symmetry_equiv_pos_as_xyz
'x,y,z'
'x,-y,z'
loop_
_atom_site_label
_atom_site_fract_x
_atom_site_fract_y
_atom_site_fract_z
Tb1 0.0000 0.0000 0.0000
Tb2 0.0035 0.5000 0.5372
Tb3 0.2530 0.5000 0.0104
Tb4 0.2577 0.0000 0.7915
Tb5 0.3544 0.2399 0.4415
Tb6 0.6633 0.2400 0.0964
Tb7 0.7624 0.0000 0.5405
Tb8 0.7741 0.5000 0.7862
Si1 0.0390 0.5000 0.1757
Si2 0.3771 0.5000 0.7412
Si3 0.6088 0.5000 0.4001
Si4 0.9790 0.0000 0.3746
B1 0.4189 0.0000 0.1502
B2 0.6404 0.0000 0.8037
O1 0.0073 0.0000 0.7681
O2 0.0090 0.5000 0.7773
O3 0.1020 0.3082 0.1147
O4 0.1429 0.5000 0.3790
O5 0.1790 0.0000 0.4460
O6 0.2555 0.3083 0.6819
O7 0.3543 0.0000 0.2670
O8 0.3650 0.1802 0.0379
O9 0.4051 0.5000 0.3009
O10 0.4813 0.5000 0.6416
O11 0.4948 0.5000 0.9407
O12 0.5298 0.0000 0.6199
O13 0.5435 0.0000 0.8934
O14 0.6050 0.0000 0.2397
O15 0.6638 0.3107 0.5242
O16 0.6874 0.5000 0.2799
O17 0.7500 0.1798 0.8606
O18 0.8380 0.5000 0.0923
O19 0.8768 0.0000 0.1719
O20 0.9148 0.1923 0.4326
```



Record 3
Structure and theoretical powder X-ray diffraction pattern of KCuF3 (a DFT-relaxed cell (PBE, the Materials Project); Cu Kα (λ = 1.5418 Å)).

Main lines, by angle (2θ = 10–80°):
| 2θ/deg | d [Å] | I/Imax |
| --- | --- | --- |
| 21.8 | 4.069 | 34 |
| 31.1 | 2.877 | 100 |
| 38.3 | 2.349 | 4 |
| 44.5 | 2.034 | 60 |
| 50.1 | 1.820 | 14 |
| 55.3 | 1.661 | 36 |
| 64.8 | 1.438 | 33 |
| 69.3 | 1.356 | 6 |
| 73.6 | 1.287 | 15 |

Crystal structure
```
data_KCuF3
_chemical_formula_sum 'K1 Cu1 F3'
_symmetry_space_group_name_H-M 'P m -3 m'
_symmetry_Int_Tables_number 221
_symmetry_space_group_name_Hall '-P 4 2 3'
_cell_length_a 4.0686
_cell_length_b 4.0686
_cell_length_c 4.0686
_cell_angle_alpha 90.00
_cell_angle_beta 90.00
_cell_angle_gamma 90.00
loop_
_atom_site_label
_atom_site_fract_x
_atom_site_fract_y
_atom_site_fract_z
K1 0.0000 0.0000 0.0000
Cu1 0.5000 0.5000 0.5000
F1 0.0000 0.5000 0.5000
```